Simulated powder XRD pattern of Nd7ErMg2 for Cu Kα X-rays, from a cell relaxed with GGA-PBE.

Structural model:
```
data_Nd7ErMg2
_chemical_formula_sum 'Nd14 Er2 Mg4'
_cell_length_a 8.8889
_cell_length_b 16.7657
_cell_length_c 5.3432
_cell_angle_alpha 90.00
_cell_angle_beta 90.00
_cell_angle_gamma 90.00
_symmetry_space_group_name_H-M 'C m m m'
_symmetry_Int_Tables_number 65
_symmetry_space_group_name_Hall '-C 2 2'
loop_
_atom_site_label
_atom_site_fract_x
_atom_site_fract_y
_atom_site_fract_z
Nd1 0.0000 0.0000 0.0000
Nd2 0.0000 0.2882 0.5000
Nd3 0.1840 0.3862 0.0000
Er1 0.0000 0.5000 0.5000
Mg1 0.0000 0.2015 0.0000
```

Main lines, low angle first (2θ = 5–70°):
index, Position (°2θ), Rel. int.
1 1 0, 11.3, 549
2 0 1, 26.1, 548
0 4 1, 27.0, 625
2 4 0, 29.3, 734
1 5 1, 33.1, 1000
0 0 2, 33.5, 514
3 1 1, 35.0, 789
2 4 2, 45.1, 450
3 9 1, 61.3, 296
5 5 1, 61.6, 379


Simulated powder XRD pattern of La2Al7Au for Cu Kα X-rays, from a cell relaxed with GGA-PBE.

Structural model:
```
data_La2Al7Au
_chemical_formula_sum 'La2 Al7 Au1'
_cell_length_a 4.3764
_cell_length_b 4.3764
_cell_length_c 11.0124
_cell_angle_alpha 90.00
_cell_angle_beta 90.00
_cell_angle_gamma 90.00
_symmetry_space_group_name_H-M 'P -4 m 2'
_symmetry_Int_Tables_number 115
loop_
_symmetry_equiv_pos_as_xyz
'x,y,z'
'y,-x,-z'
'-x,-y,z'
'-y,x,-z'
'-x,y,z'
'-y,-x,-z'
'x,-y,z'
'y,x,-z'
loop_
_atom_site_label
_atom_site_fract_x
_atom_site_fract_y
_atom_site_fract_z
La1 0.0000 0.5000 0.2501
Al1 0.0000 0.0000 0.0000
Al2 0.0000 0.0000 0.5000
Al3 0.0000 0.5000 0.6372
Al4 0.0000 0.5000 0.8689
Al5 0.5000 0.5000 0.5000
Au1 0.5000 0.5000 0.0000
```

Main lines, low angle first (2θ = 5–70°):
index, Position (°2θ), Rel. int.
0 0 1, 8.0, 535
1 0 1, 21.9, 574
1 0 2, 26.0, 167
1 0 3, 31.8, 497
0 0 4, 32.5, 165
1 1 2, 33.2, 1000
2 0 0, 41.3, 375
1 0 5, 46.1, 205
2 1 3, 53.0, 235
1 1 6, 58.5, 165


Simulated powder XRD pattern of Ce2MgGeN5 for Cu Kα X-rays, from a cell relaxed with GGA-PBE.

Structural model:
```
data_Ce2MgGeN5
_chemical_formula_sum 'Ce8 Mg4 Ge4 N20'
_cell_length_a 3.3451
_cell_length_b 13.7768
_cell_length_c 9.8548
_cell_angle_alpha 90.00
_cell_angle_beta 90.00
_cell_angle_gamma 90.00
_symmetry_space_group_name_H-M 'C m c 21'
_symmetry_Int_Tables_number 36
loop_
_symmetry_equiv_pos_as_xyz
'x,y,z'
'-x,-y,z+1/2'
'-x,y,z'
'x,-y,z+1/2'
'x+1/2,y+1/2,z'
'-x+1/2,-y+1/2,z+1/2'
'-x+1/2,y+1/2,z'
'x+1/2,-y+1/2,z+1/2'
loop_
_atom_site_label
_atom_site_fract_x
_atom_site_fract_y
_atom_site_fract_z
Ce1 0.0000 0.1271 0.0000
Ce2 0.0000 0.1370 0.5788
Mg1 0.0000 0.2173 0.2939
Ge1 0.0000 0.4915 0.7718
N1 0.0000 0.0611 0.3336
N2 0.0000 0.2902 0.9520
N3 0.0000 0.2969 0.6394
N4 0.0000 0.3735 0.3091
N5 0.0000 0.5000 0.0804
```

Main lines, low angle first (2θ = 5–70°):
index, Position (°2θ), Rel. int.
0 0 2, 18.0, 451
0 2 3, 30.1, 431
0 4 2, 31.7, 1000
1 1 2, 33.0, 964
1 3 0, 33.1, 820
1 1 3, 39.0, 491
1 5 0, 42.5, 264
1 3 4, 50.1, 275
1 7 2, 57.5, 426
2 4 2, 64.8, 266


Simulated powder XRD pattern of Sm2Dy4In for Cu Kα X-rays, from a cell relaxed with GGA-PBE.

Structural model:
```
data_Sm2Dy4In
_chemical_formula_sum 'Sm4 Dy8 In2'
_cell_length_a 6.4904
_cell_length_b 6.2808
_cell_length_c 10.7305
_cell_angle_alpha 90.00
_cell_angle_beta 90.00
_cell_angle_gamma 90.00
_symmetry_space_group_name_H-M 'P m n a'
_symmetry_Int_Tables_number 53
loop_
_symmetry_equiv_pos_as_xyz
'x,y,z'
'-x,-y,-z'
'-x+1/2,-y,z+1/2'
'x+1/2,y,-z+1/2'
'x,-y,-z'
'-x,y,z'
'-x+1/2,y,-z+1/2'
'x+1/2,-y,z+1/2'
loop_
_atom_site_label
_atom_site_fract_x
_atom_site_fract_y
_atom_site_fract_z
Sm1 0.0000 0.2450 0.0410
Dy1 0.0000 0.0678 0.3456
Dy2 0.2500 0.4036 0.7500
In1 0.0000 0.5000 0.5000
```

Main lines, low angle first (2θ = 5–70°):
index, Position (°2θ), Rel. int.
1 0 3, 28.5, 399
0 1 3, 28.7, 392
0 2 1, 29.6, 516
2 1 0, 31.0, 361
1 1 3, 31.9, 558
2 0 2, 32.2, 1000
1 2 1, 32.8, 865
2 1 2, 35.3, 584
0 1 4, 36.4, 412
3 2 1, 52.0, 240


Copy entry 1 word for word.
Simulated powder XRD pattern of Nd7ErMg2 for Cu Kα X-rays, from a cell relaxed with GGA-PBE.

Structural model:
```
data_Nd7ErMg2
_chemical_formula_sum 'Nd14 Er2 Mg4'
_cell_length_a 8.8889
_cell_length_b 16.7657
_cell_length_c 5.3432
_cell_angle_alpha 90.00
_cell_angle_beta 90.00
_cell_angle_gamma 90.00
_symmetry_space_group_name_H-M 'C m m m'
_symmetry_Int_Tables_number 65
_symmetry_space_group_name_Hall '-C 2 2'
loop_
_atom_site_label
_atom_site_fract_x
_atom_site_fract_y
_atom_site_fract_z
Nd1 0.0000 0.0000 0.0000
Nd2 0.0000 0.2882 0.5000
Nd3 0.1840 0.3862 0.0000
Er1 0.0000 0.5000 0.5000
Mg1 0.0000 0.2015 0.0000
```

Main lines, low angle first (2θ = 5–70°):
index, Position (°2θ), Rel. int.
1 1 0, 11.3, 549
2 0 1, 26.1, 548
0 4 1, 27.0, 625
2 4 0, 29.3, 734
1 5 1, 33.1, 1000
0 0 2, 33.5, 514
3 1 1, 35.0, 789
2 4 2, 45.1, 450
3 9 1, 61.3, 296
5 5 1, 61.6, 379